[1]
# BaCa2AcHg4
Theoretical powder X-ray diffraction pattern, Cu Kα (weighted mean of Kα1 and Kα2). Input: a structure optimized by DFT (GGA-PBE).

Largest 10 diffraction maxima, most intense first, 10 to 80 degrees two-theta:
| index | 2theta | intensity |
| --- | --- | --- |
| 0 1 8 | 31.73 | 100 |
| 1 1 0 | 31.90 | 100 |
| 1 2 8 | 56.74 | 39 |
| 2 0 8 | 45.62 | 37 |
| 1 0 4 | 22.35 | 20 |
| 3 0 0 | 56.85 | 20 |
| 1 0 16 | 56.42 | 19 |
| 3 1 8 | 75.74 | 17 |
| 2 1 16 | 75.46 | 16 |
| 0 1 2 | 19.36 | 16 |

Structural model:
abc: 5.6101 5.6101 27.7035
angles: 90.00 90.00 120.00
Space group R-3m (No. 166, hexagonal axes)
Inequivalent atoms, fractional coordinates:
Ba1 0.0000 0.0000 0.0000 (multiplicity 3)
Ca1 0.0000 0.0000 0.2501 (multiplicity 6)
Ac1 0.0000 0.0000 0.5000 (multiplicity 3)
Hg1 0.0000 0.0000 0.1268 (multiplicity 6)
Hg2 0.0000 0.0000 0.3782 (multiplicity 6)

***

[2]
# BaCaAcTm
Theoretical powder X-ray diffraction pattern, Cu Kα (weighted mean of Kα1 and Kα2). Input: a structure optimized by DFT (GGA-PBE).

Largest 10 diffraction maxima, most intense first, 10 to 80 degrees two-theta:
| index | 2theta | intensity |
| --- | --- | --- |
| 2 2 0 | 28.73 | 100 |
| 4 2 2 | 50.89 | 41 |
| 1 1 1 | 17.47 | 22 |
| 4 0 0 | 41.07 | 19 |
| 6 2 0 | 67.38 | 18 |
| 3 1 1 | 33.82 | 14 |
| 4 4 0 | 59.49 | 13 |
| 3 3 1 | 44.95 | 6 |
| 5 1 1 | 54.22 | 5 |
| 5 3 1 | 62.51 | 5 |

Structural model:
abc: 8.790 8.790 8.790
angles: 90.00 90.00 90.00
Space group F-43m (No. 216)
Inequivalent atoms, fractional coordinates:
Ba1 0.000 0.000 0.000 (multiplicity 4)
Ca1 0.250 0.250 0.750 (multiplicity 4)
Ac1 0.250 0.250 0.250 (multiplicity 4)
Tm1 0.000 0.000 0.500 (multiplicity 4)